Structure and theoretical X-ray powder pattern of Ba2MgV2Si4O14 (DFT lattice parameters and positions (GGA+U); Cu Kα X-rays).
Neutral-atom scattering factors, no anomalous dispersion.

Top 10 peaks for 2θ = 5–70°, low angle first:
4.299 Å, 20.66 deg, rel. 45
3.393 Å, 26.26 deg, rel. 62
3.358 Å, 26.55 deg, rel. 64
3.327 Å, 26.79 deg, rel. 100
3.027 Å, 29.51 deg, rel. 60
2.995 Å, 29.83 deg, rel. 49
2.799 Å, 31.98 deg, rel. 59
2.694 Å, 33.26 deg, rel. 57
2.226 Å, 40.52 deg, rel. 53
2.150 Å, 42.03 deg, rel. 45

Cell lengths 8.180, 8.180, 7.349 Å; angles 91.76, 91.76, 40.01 degrees
Fractional positions:
Ba1 0.202 0.202 0.259
Ba2 0.798 0.798 0.741
Mg1 0.871 0.129 0.000
V1 0.124 0.097 0.730
V2 0.903 0.876 0.270
Si1 0.376 0.411 0.973
Si2 0.400 0.392 0.528
Si3 0.589 0.624 0.027
Si4 0.608 0.600 0.472
O1 0.012 0.001 0.240
O2 0.102 0.591 0.062
O3 0.115 0.582 0.445
O4 0.363 0.376 0.749
O5 0.409 0.898 0.938
O6 0.418 0.885 0.555
O7 0.477 0.523 0.000
O8 0.502 0.498 0.500
O9 0.599 0.104 0.444
O10 0.620 0.120 0.047
O11 0.624 0.637 0.251
O12 0.880 0.380 0.953
O13 0.896 0.401 0.556
O14 0.999 0.988 0.760